Starting from a structure optimized by DFT (GGA+U), the powder X-ray diffraction pattern of SrV4Ag2O12 was simulated for λ = 1.5418 Å (Cu Kα).
No peak broadening, texture or thermal motion is included.

Largest 10 diffraction maxima, in order of falling intensity, 2θ from 10° to 90°:
- 29.38°, 3.040 Å, I = 1000
- 33.44°, 2.680 Å, I = 243
- 49.37°, 1.846 Å, I = 218
- 57.29°, 1.608 Å, I = 208
- 21.02°, 4.227 Å, I = 201
- 24.11°, 3.692 Å, I = 143
- 16.54°, 5.360 Å, I = 135
- 48.01°, 1.895 Å, I = 121
- 59.69°, 1.549 Å, I = 111
- 80.01°, 1.199 Å, I = 103

Crystal structure
abc: 10.720 10.720 5.092
angles: 90.00 90.00 90.00
Fractional coordinates of all 38 atoms:
Sr 0.250 0.250 0.000
Sr 0.750 0.750 0.000
V 0.032 0.750 0.500
V 0.250 0.532 0.500
V 0.250 0.968 0.500
V 0.468 0.750 0.500
V 0.532 0.250 0.500
V 0.750 0.032 0.500
V 0.750 0.468 0.500
V 0.968 0.250 0.500
Ag 0.000 0.000 0.000
Ag 0.000 0.500 0.000
Ag 0.500 0.000 0.000
Ag 0.500 0.500 0.000
O 0.054 0.180 0.264
O 0.054 0.320 0.736
O 0.133 0.633 0.651
O 0.133 0.867 0.349
O 0.180 0.054 0.736
O 0.180 0.446 0.264
O 0.320 0.054 0.264
O 0.320 0.446 0.736
O 0.367 0.633 0.349
O 0.367 0.867 0.651
O 0.446 0.180 0.736
O 0.446 0.320 0.264
O 0.554 0.680 0.736
O 0.554 0.820 0.264
O 0.633 0.133 0.349
O 0.633 0.367 0.651
O 0.680 0.554 0.264
O 0.680 0.946 0.736
O 0.820 0.554 0.736
O 0.820 0.946 0.264
O 0.867 0.133 0.651
O 0.867 0.367 0.349
O 0.946 0.680 0.264
O 0.946 0.820 0.736

=====

Starting from a structure optimized by DFT (GGA+U), the powder X-ray diffraction pattern of Sr2AgWO6 was simulated for λ = 1.5418 Å (Cu Kα).
No peak broadening, texture or thermal motion is included.

Largest 10 diffraction maxima, in order of falling intensity, 2θ from 10° to 90°:
- 30.25°, 2.955 Å, I = 1000
- 29.11°, 3.067 Å, I = 986
- 31.69°, 2.824 Å, I = 745
- 45.43°, 1.997 Å, I = 465
- 39.36°, 2.289 Å, I = 261
- 51.41°, 1.777 Å, I = 240
- 22.26°, 3.994 Å, I = 219
- 56.17°, 1.638 Å, I = 192
- 55.60°, 1.653 Å, I = 183
- 54.11°, 1.695 Å, I = 178

Crystal structure
abc: 5.967 5.967 5.664
angles: 115.69 115.69 56.41
Fractional coordinates of all 10 atoms:
Sr 0.244 0.244 0.224
Sr 0.756 0.756 0.776
Ag 0.000 0.000 0.500
W 0.500 0.500 0.000
O 0.194 0.680 0.171
O 0.303 0.303 0.699
O 0.320 0.806 0.829
O 0.680 0.194 0.171
O 0.697 0.697 0.301
O 0.806 0.320 0.829